1.
Starting from a structure optimized by DFT (GGA-PBE), the powder diffraction line list of BaGePbO4 was computed for Cu Kα.
No peak broadening, texture or thermal motion is included.

Most intense lines, 2θ from 10° to 90°, sorted by position:
- (1 1 0), d = 4.917 Å, 2θ = 18.0°, intensity 11
- (1 1 1), d = 4.440 Å, 2θ = 20.0°, intensity 13
- (0 1 2), d = 4.314 Å, 2θ = 20.6°, intensity 11
- (1 0 2), d = 4.001 Å, 2θ = 22.2°, intensity 13
- (1 2 0), d = 3.328 Å, 2θ = 26.8°, intensity 11
- (2 0 0), d = 3.165 Å, 2θ = 28.2°, intensity 100
- (0 2 2), d = 3.121 Å, 2θ = 28.6°, intensity 21
- (1 0 3), d = 3.025 Å, 2θ = 29.5°, intensity 75
- (2 2 1), d = 2.393 Å, 2θ = 37.6°, intensity 15
- (2 2 2), d = 2.220 Å, 2θ = 40.6°, intensity 21
- (0 2 4), d = 2.157 Å, 2θ = 41.9°, intensity 11
- (1 4 3), d = 1.643 Å, 2θ = 56.0°, intensity 11

Cell and atoms:
```
data_BaGePbO4
_chemical_formula_sum 'Ba4 Ge4 Pb4 O16'
_space_group_name_H-M_alt 'P 21 21 21'
_space_group_IT_number 19
_cell_length_a 6.3177
_cell_length_b 7.8304
_cell_length_c 10.3387
_cell_angle_alpha 90.00
_cell_angle_beta 90.00
_cell_angle_gamma 90.00
loop_
_space_group_symop_operation_xyz
'x,y,z'
'-x+1/2,-y,z+1/2'
'x+1/2,-y+1/2,-z'
'-x,y+1/2,-z+1/2'
loop_
_atom_site_label
_atom_site_type_symbol
_atom_site_fract_x
_atom_site_fract_y
_atom_site_fract_z
Ba1 Ba 0.0197 0.2489 0.2869
Ge1 Ge 0.0208 0.5416 0.9091
Pb1 Pb 0.0700 0.0448 0.9097
O1 O 0.0620 0.9500 0.4404
O2 O 0.0901 0.7591 0.9460
O3 O 0.2000 0.0176 0.6992
O4 O 0.2448 0.4549 0.8324
```

2.
Starting from a structure optimized by DFT (GGA-PBE), the powder diffraction line list of PrTh3H8 was computed for Cu Kα.
No peak broadening, texture or thermal motion is included.

Most intense lines, 2θ from 10° to 90°, sorted by position:
- (1 0 0), d = 5.474 Å, 2θ = 16.2°, intensity 3
- (1 1 0), d = 3.871 Å, 2θ = 23.0°, intensity 2
- (1 1 1), d = 3.161 Å, 2θ = 28.2°, intensity 100
- (2 0 0), d = 2.737 Å, 2θ = 32.7°, intensity 50
- (2 1 0), d = 2.448 Å, 2θ = 36.7°, intensity 2
- (2 2 0), d = 1.935 Å, 2θ = 46.9°, intensity 39
- (3 1 1), d = 1.651 Å, 2θ = 55.7°, intensity 47
- (2 2 2), d = 1.580 Å, 2θ = 58.4°, intensity 13
- (4 0 0), d = 1.369 Å, 2θ = 68.6°, intensity 6
- (3 3 1), d = 1.256 Å, 2θ = 75.7°, intensity 19
- (4 2 0), d = 1.224 Å, 2θ = 78.1°, intensity 18
- (4 2 2), d = 1.117 Å, 2θ = 87.2°, intensity 14

Cell and atoms:
```
data_PrTh3H8
_chemical_formula_sum 'Pr1 Th3 H8'
_space_group_name_H-M_alt 'P m -3 m'
_space_group_IT_number 221
_space_group_name_Hall '-P 4 2 3'
_cell_length_a 5.4744
_cell_length_b 5.4744
_cell_length_c 5.4744
_cell_angle_alpha 90.00
_cell_angle_beta 90.00
_cell_angle_gamma 90.00
loop_
_atom_site_label
_atom_site_type_symbol
_atom_site_fract_x
_atom_site_fract_y
_atom_site_fract_z
Pr1 Pr 0.0000 0.0000 0.0000
Th1 Th 0.0000 0.5000 0.5000
H1 H 0.2533 0.2533 0.2533
```